[1]
Rb2MgSnCl6: theoretical X-ray powder pattern (copper Kα), based on a crystal structure in Alexandria, relaxed with PBE.
Intensities are scaled so that the largest is 100.

The 12 most intense peaks (10° ≤ 2θ ≤ 80°), in order of rising 2θ:
2θ/deg  Rel. int.
14.38  18
23.59  100
27.74  22
29.00  39
33.61  93
36.72  16
41.47  46
48.26  62
54.40  23
60.09  21
65.48  26
75.65  12

Crystal structure
Cell lengths 10.667, 10.667, 10.667 Å; angles 90.00, 90.00, 90.00 degrees
Space group Fm-3m (No. 225)
Asymmetric unit:
Rb 0.250 0.250 0.250 [8 per cell]
Mg 0.000 0.000 0.000 [4 per cell]
Sn 0.000 0.000 0.500 [4 per cell]
Cl 0.000 0.000 0.237 [24 per cell]



[2]
RbMgTiCl6: theoretical X-ray powder pattern (copper Kα), based on a crystal structure in Alexandria, relaxed with PBE.
Intensities are scaled so that the largest is 100.

The 12 most intense peaks (10° ≤ 2θ ≤ 80°), in order of rising 2θ:
2θ/deg  Rel. int.
13.56  18
22.59  36
22.74  100
23.12  25
24.11  29
27.78  49
30.24  32
30.73  20
35.77  44
36.51  26
39.08  25
39.36  56

Crystal structure
Cell lengths 8.951, 9.219, 13.057 Å; angles 90.00, 90.00, 90.00 degrees
Space group Imma (No. 74)
Asymmetric unit:
Rb 0.000 0.250 0.089 [4 per cell]
Mg 0.250 0.250 0.750 [4 per cell]
Ti 0.000 0.000 0.500 [4 per cell]
Cl 0.000 0.250 0.443 [4 per cell]
Cl 0.000 0.250 0.827 [4 per cell]
Cl 0.196 0.042 0.625 [16 per cell]



[3]
Rb2Mg2TlCl7: theoretical X-ray powder pattern (copper Kα), based on a crystal structure in Alexandria, relaxed with PBE.
Intensities are scaled so that the largest is 100.

The 12 most intense peaks (10° ≤ 2θ ≤ 80°), in order of rising 2θ:
2θ/deg  Rel. int.
17.87  41
20.24  24
24.41  65
24.92  56
28.42  44
32.30  100
34.04  26
35.53  67
43.58  30
50.02  32
51.12  23
61.78  28

Crystal structure
Cell lengths 5.054, 5.054, 26.336 Å; angles 90.00, 90.00, 90.00 degrees
Space group I4/mmm (No. 139)
Asymmetric unit:
Rb 0.000 0.000 0.182 [4 per cell]
Mg 0.000 0.000 0.403 [4 per cell]
Tl 0.000 0.000 0.000 [2 per cell]
Cl 0.000 0.000 0.309 [4 per cell]
Cl 0.000 0.000 0.500 [2 per cell]
Cl 0.000 0.500 0.094 [8 per cell]



[4]
Rb2MgZnCl6: theoretical X-ray powder pattern (copper Kα), based on a crystal structure in Alexandria, relaxed with PBE.
Intensities are scaled so that the largest is 100.

The 12 most intense peaks (10° ≤ 2θ ≤ 80°), in order of rising 2θ:
2θ/deg  Rel. int.
15.43  11
24.04  41
25.96  69
31.16  95
34.26  100
39.64  32
43.48  35
46.90  14
49.23  33
53.38  51
59.42  25
64.97  27

Crystal structure
Cell lengths 7.403, 7.403, 9.094 Å; angles 90.00, 90.00, 90.00 degrees
Space group I4/mmm (No. 139)
Asymmetric unit:
Rb 0.000 0.500 0.250 [4 per cell]
Mg 0.000 0.000 0.000 [2 per cell]
Zn 0.000 0.000 0.500 [2 per cell]
Cl 0.000 0.000 0.258 [4 per cell]
Cl 0.245 0.245 0.000 [8 per cell]



[5]
MgRh2Cl: theoretical X-ray powder pattern (copper Kα), based on a crystal structure in Alexandria, relaxed with PBE.
Intensities are scaled so that the largest is 100.

The 12 most intense peaks (10° ≤ 2θ ≤ 80°), in order of rising 2θ:
2θ/deg  Rel. int.
12.34  100
24.83  11
31.52  19
38.45  98
41.31  48
43.28  19
48.12  24
59.62  11
59.85  15
61.37  7
67.59  10
73.42  27

Crystal structure
Cell lengths 3.091, 3.091, 7.171 Å; angles 90.00, 90.00, 90.00 degrees
Space group P4mm (No. 99)
Asymmetric unit:
Mg 0.000 0.000 0.000 [1 per cell]
Rh 0.000 0.000 0.442 [1 per cell]
Rh 0.500 0.500 0.253 [1 per cell]
Cl 0.500 0.500 0.779 [1 per cell]



[6]
Mg2SbSCl: theoretical X-ray powder pattern (copper Kα), based on a crystal structure in Alexandria, relaxed with PBE.
Intensities are scaled so that the largest is 100.

The 12 most intense peaks (10° ≤ 2θ ≤ 80°), in order of rising 2θ:
2θ/deg  Rel. int.
16.11  100
17.74  28
22.85  63
24.05  85
32.54  75
35.93  28
36.51  26
40.87  41
43.01  21
46.68  26
49.25  44
60.28  23

Crystal structure
Cell lengths 5.503, 5.503, 4.999 Å; angles 90.00, 90.00, 90.00 degrees
Space group P4/mmm (No. 123)
Asymmetric unit:
Mg 0.000 0.500 0.000 [2 per cell]
Sb 0.000 0.000 0.000 [1 per cell]
S 0.000 0.000 0.500 [1 per cell]
Cl 0.500 0.500 0.500 [1 per cell]



[7]
MgScS2Cl: theoretical X-ray powder pattern (copper Kα), based on a crystal structure in Alexandria, relaxed with PBE.
Intensities are scaled so that the largest is 100.

The 12 most intense peaks (10° ≤ 2θ ≤ 80°), in order of rising 2θ:
2θ/deg  Rel. int.
17.78  70
18.52  26
25.25  14
25.78  20
31.49  69
36.00  100
37.54  44
40.43  14
51.83  31
53.00  58
61.92  16
65.74  29

Crystal structure
Cell lengths 4.989, 4.989, 4.791 Å; angles 90.00, 90.00, 90.00 degrees
Space group P4/mmm (No. 123)
Asymmetric unit:
Mg 0.000 0.000 0.000 [1 per cell]
Sc 0.500 0.500 0.500 [1 per cell]
S 0.000 0.500 0.500 [2 per cell]
Cl 0.500 0.500 0.000 [1 per cell]



[8]
MgSnS2Cl: theoretical X-ray powder pattern (copper Kα), based on a crystal structure in Alexandria, relaxed with PBE.
Intensities are scaled so that the largest is 100.

The 12 most intense peaks (10° ≤ 2θ ≤ 80°), in order of rising 2θ:
2θ/deg  Rel. int.
18.25  23
25.92  80
31.89  100
36.99  78
41.54  15
45.72  38
53.31  52
60.17  12
63.44  26
63.54  13
66.66  18
72.81  20

Crystal structure
Cell lengths 4.864, 4.864, 4.854 Å; angles 90.00, 90.00, 90.00 degrees
Space group P4/mmm (No. 123)
Asymmetric unit:
Mg 0.000 0.000 0.000 [1 per cell]
Sn 0.500 0.500 0.500 [1 per cell]
S 0.000 0.500 0.000 [2 per cell]
Cl 0.000 0.000 0.500 [1 per cell]